Diffraction record for CrS2BrO8. The X-ray powder pattern is theoretical, not measured: it uses a GGA+U-relaxed structure and CuKα.

Most intense lines, 2θ from 10° to 90°, in order of rising 2θ:
2θ/deg, d (Å), intensity
10.27, 8.616, 33
22.43, 3.964, 72
24.45, 3.641, 29
26.81, 3.325, 100
31.54, 2.836, 35
34.78, 2.579, 21
38.27, 2.352, 18
41.43, 2.180, 18
43.92, 2.062, 21
57.64, 1.599, 19

Crystal structure
```
CrS2BrO8
1.0
4.141 -2.579 0.000
4.141 2.579 0.000
-2.602 0.000 8.616
Cr S Br O
1 2 1 8
Direct
0.000 0.000 0.000 Cr
0.411 0.411 0.181 S
0.589 0.589 0.819 S
0.000 0.000 0.500 Br
0.251 0.251 0.054 O
0.254 0.721 0.837 O
0.279 0.746 0.163 O
0.391 0.391 0.338 O
0.609 0.609 0.662 O
0.721 0.254 0.837 O
0.746 0.279 0.163 O
0.749 0.749 0.946 O
```